# Li3MnP2O9
Simulated powder diffractogram, CuKα. Input: a PBE+U-relaxed structure.
Kinematic intensities with the Lorentz-polarization factor, no thermal factor.

Principal peaks in the range 2θ from 10° to 80°, in order of falling intensity:
- 2θ 12.46, I 100, (0 1 0)
- 2θ 17.67, I 39, (0 1 -1)
- 2θ 18.60, I 35, (1 1 0)
- 2θ 28.19, I 30, (0 1 -2)
- 2θ 28.03, I 30, (0 2 1)
- 2θ 29.41, I 22, (2 -1 1)
- 2θ 25.83, I 19, (1 1 2)
- 2θ 19.42, I 17, (1 -1 1)

Crystal structure
abc: 6.875 7.135 7.844
angles: 88.75 64.34 87.28
Space group P1 (No. 1)
Symmetry-distinct sites (fractional):
1 Li 0.000 0.000 0.000 [1 per cell]
2 Li 0.096 0.258 0.278 [1 per cell]
3 Li 0.248 0.511 0.571 [1 per cell]
4 Li 0.483 0.459 0.062 [1 per cell]
5 Li 0.693 0.061 0.511 [1 per cell]
6 Li 0.855 0.759 0.788 [1 per cell]
7 Mn 0.092 0.762 0.282 [1 per cell]
8 Mn 0.589 0.756 0.288 [1 per cell]
9 P 0.198 0.045 0.539 [1 per cell]
10 P 0.474 0.001 0.988 [1 per cell]
11 P 0.717 0.517 0.584 [1 per cell]
12 P 0.976 0.472 0.033 [1 per cell]
13 O 0.063 0.557 0.836 [1 per cell]
14 O 0.073 0.963 0.735 [1 per cell]
15 O 0.089 0.993 0.407 [1 per cell]
16 O 0.100 0.535 0.150 [1 per cell]
17 O 0.208 0.258 0.527 [1 per cell]
18 O 0.265 0.887 0.044 [1 per cell]
19 O 0.333 0.655 0.310 [1 per cell]
20 O 0.415 0.196 0.078 [1 per cell]
21 O 0.440 0.966 0.453 [1 per cell]
22 O 0.552 0.606 0.512 [1 per cell]
23 O 0.597 0.000 0.774 [1 per cell]
24 O 0.613 0.521 0.798 [1 per cell]
25 O 0.633 0.888 0.057 [1 per cell]
26 O 0.730 0.539 0.137 [1 per cell]
27 O 0.788 0.323 0.494 [1 per cell]
28 O 0.846 0.864 0.262 [1 per cell]
29 O 0.915 0.649 0.524 [1 per cell]
30 O 0.985 0.259 0.048 [1 per cell]